For Sr2GaAg2, the PBE geometry in Alexandria gives the computed powder diffraction line list in this record (a wavelength of 1.5418 Å).
Peak positions follow from Bragg's law for the DFT cell and can differ from measured ones.

Cell and atoms:
Lattice parameters (Å, degrees): 6.086 6.086 8.678 101.28 101.28 60.62
Positions (direct):
Sr1 0.019 0.284 0.153
Sr2 0.284 0.019 0.653
Sr3 0.716 0.981 0.347
Sr4 0.981 0.716 0.847
Ga1 0.352 0.648 0.250
Ga2 0.648 0.352 0.750
Ag1 0.244 0.502 0.502
Ag2 0.498 0.756 0.998
Ag3 0.502 0.244 0.002
Ag4 0.756 0.498 0.498

Most intense lines, 10° ≤ 2θ ≤ 90°, in order of rising 2θ:
- 16.8 deg, d = 5.267 Å, I 42
- 28.6 deg, d = 3.123 Å, I 56
- 31.0 deg, d = 2.886 Å, I 62
- 33.2 deg, d = 2.702 Å, I 61
- 33.8 deg, d = 2.652 Å, I 69
- 34.3 deg, d = 2.614 Å, I 95
- 34.5 deg, d = 2.602 Å, I 91
- 36.7 deg, d = 2.448 Å, I 54
- 36.9 deg, d = 2.435 Å, I 100
- 44.3 deg, d = 2.046 Å, I 46